For Cd5In4, the GGA-PBE geometry in Alexandria gives the simulated XRD peak list in this record (a wavelength of 1.5418 Å).

Main lines, low angle first (10° ≤ 2θ ≤ 80°):
| 2θ/deg | intensity | index |
| --- | --- | --- |
| 33.58 | 100 | 3 0 1 |
| 37.16 | 19 | 0 0 2 |
| 39.85 | 31 | 3 3 0 |
| 55.62 | 22 | 3 3 2 |
| 57.62 | 10 | 6 0 0 |
| 64.72 | 14 | 3 0 3 |
| 68.37 | 23 | 6 3 1 |
| 70.59 | 11 | 6 0 2 |
| 79.18 | 2 | 0 0 4 |

Structure:
a b c (Å): 9.5977 9.5977 4.8388
angles (deg): 90.00 90.00 90.00
Space group I4/mmm (No. 139)
Unique sites:
Cd  0.0000  0.0000  0.0000 [2 per cell]
Cd  0.1644  0.1644  0.5000 [8 per cell]
In  0.0000  0.3279  0.0000 [8 per cell]